1.
Starting from a DFT-relaxed cell (PBE, Alexandria), the X-ray diffraction stick pattern of Ce3Al2Ga6 was calculated for CuKα.
Kinematic intensities with the Lorentz-polarization factor, no thermal factor.

```
Ce3Al2Ga6
1.0
-2.0736 2.0736 14.4466
2.0736 -2.0736 14.4466
2.0736 2.0736 -14.4466
Ce Al Ga
3 2 6
Direct
0.0000 0.0000 0.0000
0.1696 0.1696 0.0000
0.8304 0.8304 0.0000
0.3614 0.3614 0.0000
0.6386 0.6386 0.0000
0.0798 0.5798 0.5000
0.2714 0.2714 0.0000
0.4202 0.9202 0.5000
0.5798 0.0798 0.5000
0.7286 0.7286 0.0000
0.9202 0.4202 0.5000
```

Top 6 peaks for 2θ from 10° to 90°, in order of rising 2θ:
2θ = 21.6°, I 43; 2θ = 30.5°, I 58; 2θ = 31.1°, I 37; 2θ = 35.9°, I 100; 2θ = 40.7°, I 48; 2θ = 43.6°, I 60

***

2.
Starting from a DFT-relaxed cell (PBE, Alexandria), the X-ray diffraction stick pattern of Ce2AlGa was calculated for CuKα.
Kinematic intensities with the Lorentz-polarization factor, no thermal factor.

```
Ce2AlGa
1.0
-3.1169 4.3712 3.3428
3.1169 -4.3712 3.3428
3.1169 4.3712 -3.3428
Ce Al Ga
4 2 2
Direct
0.2751 0.0000 0.7751
0.2751 0.5000 0.2751
0.7249 0.0000 0.2249
0.7249 0.5000 0.7249
0.2044 0.4544 0.7500
0.7956 0.5456 0.2500
0.2067 0.9567 0.2500
0.7933 0.0433 0.7500
```

Top 6 peaks for 2θ from 10° to 90°, in order of rising 2θ:
2θ = 20.3°, I 39; 2θ = 26.7°, I 28; 2θ = 33.8°, I 100; 2θ = 35.4°, I 96; 2θ = 39.5°, I 70; 2θ = 58.5°, I 32

***

3.
Starting from a DFT-relaxed cell (PBE, Alexandria), the X-ray diffraction stick pattern of CeAl2Ga7 was calculated for CuKα.
Kinematic intensities with the Lorentz-polarization factor, no thermal factor.

```
CeAl2Ga7
1.0
2.7741 -9.4075 0.0000
2.7741 9.4075 0.0000
0.0000 0.0000 3.9626
Ce Al Ga
1 2 7
Direct
0.0000 0.0000 0.0000
0.2650 0.7350 0.5000
0.7350 0.2650 0.5000
0.1352 0.3654 0.5000
0.1750 0.8250 0.0000
0.3654 0.1352 0.5000
0.5000 0.5000 0.5000
0.6346 0.8648 0.5000
0.8250 0.1750 0.0000
0.8648 0.6346 0.5000
```

Top 6 peaks for 2θ from 10° to 90°, in order of rising 2θ:
2θ = 28.1°, I 100; 2θ = 36.5°, I 39; 2θ = 36.7°, I 70; 2θ = 37.6°, I 71; 2θ = 39.7°, I 50; 2θ = 45.8°, I 40

***

4.
Starting from a DFT-relaxed cell (PBE, Alexandria), the X-ray diffraction stick pattern of Ce3Al2Ga4 was calculated for CuKα.
Kinematic intensities with the Lorentz-polarization factor, no thermal factor.

```
Ce3Al2Ga4
1.0
4.5297 0.0000 0.0000
-2.2648 3.9228 0.0000
0.0000 0.0000 21.9186
Ce Al Ga
6 4 8
Direct
0.0000 0.0000 0.0832
0.0000 0.0000 0.2490
0.0000 0.0000 0.4167
0.0000 0.0000 0.5833
0.0000 0.0000 0.7510
0.0000 0.0000 0.9168
0.3333 0.6667 0.0000
0.6667 0.3333 0.0000
0.6667 0.3333 0.3329
0.6667 0.3333 0.6671
0.3333 0.6667 0.1614
0.3333 0.6667 0.3320
0.3333 0.6667 0.5000
0.3333 0.6667 0.6680
0.3333 0.6667 0.8386
0.6667 0.3333 0.1688
0.6667 0.3333 0.5000
0.6667 0.3333 0.8312
```

Top 6 peaks for 2θ from 10° to 90°, in order of rising 2θ:
2θ = 22.7°, I 23; 2θ = 33.5°, I 100; 2θ = 39.8°, I 52; 2θ = 53.0°, I 27; 2θ = 65.7°, I 23; 2θ = 68.3°, I 25

***

5.
Starting from a DFT-relaxed cell (PBE, Alexandria), the X-ray diffraction stick pattern of Ce6AlGa2 was calculated for CuKα.
Kinematic intensities with the Lorentz-polarization factor, no thermal factor.

```
Ce6AlGa2
1.0
8.8628 0.0000 0.0000
-4.4314 7.6754 0.0000
0.0000 0.0000 2.9421
Ce Al Ga
6 1 2
Direct
0.0000 0.3344 0.0000
0.0000 0.6656 0.0000
0.3344 0.0000 0.0000
0.3344 0.3344 0.0000
0.6656 0.0000 0.0000
0.6656 0.6656 0.0000
0.0000 0.0000 0.5000
0.3333 0.6667 0.5000
0.6667 0.3333 0.5000
```

Top 6 peaks for 2θ from 10° to 90°, in order of rising 2θ:
2θ = 20.0°, I 24; 2θ = 35.1°, I 100; 2θ = 36.7°, I 61; 2θ = 47.1°, I 38; 2θ = 51.6°, I 23; 2θ = 64.0°, I 24

***

6.
Starting from a DFT-relaxed cell (PBE, Alexandria), the X-ray diffraction stick pattern of Ce4Al3Ga16 was calculated for CuKα.
Kinematic intensities with the Lorentz-polarization factor, no thermal factor.

```
Ce4Al3Ga16
1.0
6.4307 0.0000 0.0000
0.0000 6.4307 0.0000
0.0000 0.0000 11.0828
Ce Al Ga
4 3 16
Direct
0.0000 0.5000 0.1911
0.0000 0.5000 0.8089
0.5000 0.0000 0.1911
0.5000 0.0000 0.8089
0.0000 0.0000 0.0000
0.0000 0.5000 0.5000
0.5000 0.0000 0.5000
0.0000 0.0000 0.2455
0.0000 0.0000 0.7545
0.2627 0.2627 0.3761
0.2627 0.2627 0.6239
0.2627 0.7373 0.3761
0.2627 0.7373 0.6239
0.2925 0.2925 0.0000
0.2925 0.7075 0.0000
0.5000 0.5000 0.1972
0.5000 0.5000 0.8028
0.7075 0.2925 0.0000
0.7075 0.7075 0.0000
0.7373 0.2627 0.3761
0.7373 0.2627 0.6239
0.7373 0.7373 0.3761
0.7373 0.7373 0.6239
```

Top 6 peaks for 2θ from 10° to 90°, in order of rising 2θ:
2θ = 31.2°, I 22; 2θ = 32.2°, I 62; 2θ = 37.1°, I 100; 2θ = 39.6°, I 76; 2θ = 58.1°, I 26; 2θ = 70.2°, I 23

***

7.
Starting from a DFT-relaxed cell (PBE, Alexandria), the X-ray diffraction stick pattern of Ce4AlGa12 was calculated for CuKα.
Kinematic intensities with the Lorentz-polarization factor, no thermal factor.

```
Ce4AlGa12
1.0
-4.4040 4.4040 4.4040
4.4040 -4.4040 4.4040
4.4040 4.4040 -4.4040
Ce Al Ga
4 1 12
Direct
0.0000 0.0000 0.5000
0.0000 0.5000 0.0000
0.5000 0.0000 0.0000
0.5000 0.5000 0.5000
0.0000 0.0000 0.0000
0.0000 0.3078 0.3078
0.0000 0.6922 0.6922
0.2500 0.5000 0.7500
0.2500 0.7500 0.5000
0.3078 0.0000 0.3078
0.3078 0.3078 0.0000
0.5000 0.2500 0.7500
0.5000 0.7500 0.2500
0.6922 0.0000 0.6922
0.6922 0.6922 0.0000
0.7500 0.2500 0.5000
0.7500 0.5000 0.2500
```

Top 6 peaks for 2θ from 10° to 90°, in order of rising 2θ:
2θ = 28.7°, I 20; 2θ = 35.3°, I 100; 2θ = 41.0°, I 52; 2θ = 46.1°, I 9; 2θ = 59.4°, I 28; 2θ = 71.0°, I 27

***

8.
Starting from a DFT-relaxed cell (PBE, Alexandria), the X-ray diffraction stick pattern of Ce2Al3Ga4Hg was calculated for CuKα.
Kinematic intensities with the Lorentz-polarization factor, no thermal factor.

```
Ce2Al3Ga4Hg
1.0
4.3625 0.0000 0.0000
0.0000 4.3625 0.0000
0.0000 0.0000 10.8682
Ce Al Ga Hg
2 3 4 1
Direct
0.0000 0.5000 0.2409
0.5000 0.0000 0.7591
0.0000 0.5000 0.8713
0.5000 0.0000 0.1287
0.5000 0.5000 0.5000
0.0000 0.0000 0.0000
0.0000 0.5000 0.6454
0.5000 0.0000 0.3546
0.5000 0.5000 0.0000
0.0000 0.0000 0.5000
```

Top 6 peaks for 2θ from 10° to 90°, in order of rising 2θ:
2θ = 22.0°, I 26; 2θ = 32.1°, I 38; 2θ = 33.4°, I 100; 2θ = 41.4°, I 42; 2θ = 46.7°, I 19; 2θ = 70.4°, I 23

***

9.
Starting from a DFT-relaxed cell (PBE, Alexandria), the X-ray diffraction stick pattern of LaCeAl2Ga5 was calculated for CuKα.
Kinematic intensities with the Lorentz-polarization factor, no thermal factor.

```
LaCeAl2Ga5
1.0
4.3676 0.0000 0.0000
0.0000 4.3676 0.0000
0.0000 0.0000 9.9901
La Ce Al Ga
1 1 2 5
Direct
0.0000 0.0000 0.0000
0.0000 0.0000 0.5000
0.5000 0.5000 0.3765
0.5000 0.5000 0.6235
0.0000 0.5000 0.2321
0.0000 0.5000 0.7679
0.5000 0.0000 0.2321
0.5000 0.0000 0.7679
0.5000 0.5000 0.0000
```

Top 6 peaks for 2θ from 10° to 90°, in order of rising 2θ:
2θ = 27.1°, I 18; 2θ = 34.1°, I 100; 2θ = 36.0°, I 17; 2θ = 41.3°, I 35; 2θ = 55.9°, I 18; 2θ = 70.8°, I 23

***

10.
Starting from a DFT-relaxed cell (PBE, Alexandria), the X-ray diffraction stick pattern of CeAlGaOs was calculated for CuKα.
Kinematic intensities with the Lorentz-polarization factor, no thermal factor.

```
CeAlGaOs
1.0
2.1501 1.2414 5.0083
-2.1501 1.2414 5.0083
0.0000 -2.4827 5.0083
Ce Al Ga Os
1 1 1 1
Direct
0.0000 0.0000 0.0000
0.7885 0.7885 0.7885
0.2072 0.2072 0.2072
0.4635 0.4635 0.4635
```

Top 6 peaks for 2θ from 10° to 90°, in order of rising 2θ:
2θ = 26.7°, I 74; 2θ = 33.9°, I 100; 2θ = 38.5°, I 31; 2θ = 42.0°, I 79; 2θ = 55.0°, I 32; 2θ = 71.6°, I 42

***

11.
Starting from a DFT-relaxed cell (PBE, Alexandria), the X-ray diffraction stick pattern of CeAlGaPd was calculated for CuKα.
Kinematic intensities with the Lorentz-polarization factor, no thermal factor.

```
CeAlGaPd
1.0
2.1370 1.2338 5.2297
-2.1370 1.2338 5.2297
0.0000 -2.4676 5.2297
Ce Al Ga Pd
1 1 1 1
Direct
0.0000 0.0000 0.0000
0.7908 0.7908 0.7908
0.2161 0.2161 0.2161
0.4971 0.4971 0.4971
```

Top 6 peaks for 2θ from 10° to 90°, in order of rising 2θ:
2θ = 26.6°, I 45; 2θ = 33.3°, I 100; 2θ = 42.3°, I 64; 2θ = 54.9°, I 24; 2θ = 55.5°, I 24; 2θ = 71.6°, I 21

***

12.
Starting from a DFT-relaxed cell (PBE, Alexandria), the X-ray diffraction stick pattern of Ce2AlGa3Pt4 was calculated for CuKα.
Kinematic intensities with the Lorentz-polarization factor, no thermal factor.

```
Ce2AlGa3Pt4
1.0
4.2068 0.0000 0.0000
0.0000 4.2068 0.0000
0.0000 0.0000 10.7778
Ce Al Ga Pt
2 1 3 4
Direct
0.0000 0.5000 0.2452
0.5000 0.0000 0.7548
0.5000 0.5000 0.0000
0.0000 0.0000 0.0000
0.0000 0.5000 0.6338
0.5000 0.0000 0.3662
0.0000 0.0000 0.5000
0.0000 0.5000 0.8649
0.5000 0.0000 0.1351
0.5000 0.5000 0.5000
```

Top 6 peaks for 2θ from 10° to 90°, in order of rising 2θ:
2θ = 31.2°, I 37; 2θ = 32.8°, I 56; 2θ = 34.4°, I 100; 2θ = 43.0°, I 66; 2θ = 45.4°, I 36; 2θ = 47.4°, I 33